Calculated powder XRD pattern
Compound: CaV4Pd3O12
Radiation: Cu Kα
Structure: a GGA+U-relaxed structure

Cell and atoms:
a b c (Å): 6.5206 6.5206 6.5206
angles (deg): 109.47 109.47 109.47
Atoms (fractional coordinates):
1 Ca 0.0000 0.0000 0.0000
2 V 0.0000 0.0000 0.5000
3 V 0.0000 0.5000 0.0000
4 V 0.5000 0.0000 0.0000
5 V 0.5000 0.5000 0.5000
6 Pd 0.0000 0.5000 0.5000
7 Pd 0.5000 0.0000 0.5000
8 Pd 0.5000 0.5000 0.0000
9 O 0.1143 0.2955 0.8188
10 O 0.1812 0.4767 0.2955
11 O 0.1812 0.8857 0.7045
12 O 0.2955 0.1812 0.4767
13 O 0.2955 0.8188 0.1143
14 O 0.4767 0.2955 0.1812
15 O 0.5233 0.7045 0.8188
16 O 0.7045 0.1812 0.8857
17 O 0.7045 0.8188 0.5233
18 O 0.8188 0.1143 0.2955
19 O 0.8188 0.5233 0.7045
20 O 0.8857 0.7045 0.1812

The 10 most intense peaks (10 to 90 degrees two-theta), sorted by position:
d [Å]	intensity
5.324	9
3.765	8
3.074	9
2.662	100
2.381	5
2.174	11
1.882	28
1.537	47
1.331	14
1.190	16